Theoretical X-ray diffraction stick pattern
Compound: K8C3O8
Radiation: Cu Kα X-rays
Structure: a crystal structure in Alexandria, relaxed with GGA-PBE
No peak broadening, texture or thermal motion is included.

Peak list (12 most intense, 2θ from 10° to 80°, by angle)
2θ = 19.19°, rel. 20; 2θ = 19.76°, rel. 31; 2θ = 20.64°, rel. 49; 2θ = 22.57°, rel. 48; 2θ = 22.79°, rel. 93; 2θ = 29.80°, rel. 50; 2θ = 31.56°, rel. 100; 2θ = 33.00°, rel. 89; 2θ = 34.92°, rel. 49; 2θ = 36.42°, rel. 43; 2θ = 41.98°, rel. 32; 2θ = 46.55°, rel. 28

```
K8C3O8
1.0
10.080 -2.569 0.000
10.080 2.569 0.000
-1.967 0.000 9.396
K C O
8 3 8
Direct
0.059 0.059 0.189 K
0.238 0.125 0.519 K
0.304 0.319 0.931 K
0.421 0.433 0.343 K
0.567 0.579 0.657 K
0.681 0.696 0.069 K
0.875 0.762 0.481 K
0.941 0.941 0.811 K
0.237 0.280 0.266 C
0.720 0.763 0.734 C
0.972 0.028 0.500 C
0.062 0.845 0.546 O
0.125 0.455 0.188 O
0.155 0.938 0.454 O
0.217 0.169 0.225 O
0.363 0.221 0.387 O
0.545 0.875 0.812 O
0.779 0.637 0.613 O
0.831 0.783 0.775 O
```

Theoretical X-ray diffraction stick pattern
Compound: CaNbGeTeP
Radiation: Cu Kα X-rays
Structure: a crystal structure in Alexandria, relaxed with GGA-PBE
No peak broadening, texture or thermal motion is included.

Peak list (12 most intense, 2θ from 10° to 80°, by angle)
2θ = 11.53°, rel. 56; 2θ = 23.01°, rel. 20; 2θ = 25.81°, rel. 22; 2θ = 26.60°, rel. 15; 2θ = 32.90°, rel. 22; 2θ = 33.53°, rel. 39; 2θ = 35.09°, rel. 32; 2θ = 35.45°, rel. 100; 2θ = 41.06°, rel. 71; 2θ = 47.02°, rel. 22; 2θ = 48.89°, rel. 19; 2θ = 59.22°, rel. 17

```
CaNbGeTeP
1.0
3.726 0.000 0.000
0.000 3.865 0.000
0.000 0.000 7.672
Ca Nb Ge Te P
1 1 1 1 1
Direct
0.000 0.000 0.000 Ca
0.000 0.500 0.420 Nb
0.500 0.000 0.400 Ge
0.500 0.500 0.726 Te
0.500 0.500 0.165 P
```

Theoretical X-ray diffraction stick pattern
Compound: BaSrCa
Radiation: Cu Kα X-rays
Structure: a crystal structure in Alexandria, relaxed with GGA-PBE
No peak broadening, texture or thermal motion is included.

Peak list (12 most intense, 2θ from 10° to 80°, by angle)
2θ = 15.34°, rel. 28; 2θ = 26.73°, rel. 92; 2θ = 26.85°, rel. 100; 2θ = 38.25°, rel. 39; 2θ = 47.25°, rel. 60; 2θ = 47.49°, rel. 19; 2θ = 55.07°, rel. 12; 2θ = 55.33°, rel. 12; 2θ = 62.30°, rel. 18; 2θ = 62.48°, rel. 17; 2θ = 75.43°, rel. 20; 2θ = 75.62°, rel. 10

```
BaSrCa
1.0
6.671 0.000 0.000
-3.335 5.777 0.000
0.000 0.000 4.058
Ba Sr Ca
1 1 1
Direct
0.000 0.000 0.000 Ba
0.667 0.333 0.652 Sr
0.333 0.667 0.341 Ca
```

Theoretical X-ray diffraction stick pattern
Compound: BaSn2Sb2
Radiation: Cu Kα X-rays
Structure: a crystal structure in Alexandria, relaxed with GGA-PBE
No peak broadening, texture or thermal motion is included.

Peak list (12 most intense, 2θ from 10° to 80°, by angle)
2θ = 17.52°, rel. 18; 2θ = 27.94°, rel. 61; 2θ = 30.62°, rel. 69; 2θ = 30.73°, rel. 100; 2θ = 41.90°, rel. 22; 2θ = 43.96°, rel. 89; 2θ = 52.94°, rel. 20; 2θ = 54.56°, rel. 14; 2θ = 59.18°, rel. 26; 2θ = 63.96°, rel. 30; 2θ = 72.63°, rel. 29; 2θ = 76.61°, rel. 25

```
BaSn2Sb2
1.0
5.820 0.000 0.000
0.000 5.820 0.000
0.000 0.000 10.125
Ba Sn Sb
2 4 4
Direct
0.000 0.000 0.000 Ba
0.500 0.500 0.500 Ba
0.000 0.000 0.351 Sn
0.000 0.000 0.649 Sn
0.500 0.500 0.149 Sn
0.500 0.500 0.851 Sn
0.000 0.500 0.250 Sb
0.000 0.500 0.750 Sb
0.500 0.000 0.250 Sb
0.500 0.000 0.750 Sb
```

Theoretical X-ray diffraction stick pattern
Compound: HfAlPt
Radiation: Cu Kα X-rays
Structure: a crystal structure in Alexandria, relaxed with GGA-PBE
No peak broadening, texture or thermal motion is included.

Peak list (12 most intense, 2θ from 10° to 80°, by angle)
2θ = 25.23°, rel. 59; 2θ = 28.38°, rel. 24; 2θ = 29.21°, rel. 15; 2θ = 35.30°, rel. 77; 2θ = 38.34°, rel. 100; 2θ = 38.98°, rel. 17; 2θ = 44.45°, rel. 49; 2θ = 46.45°, rel. 39; 2θ = 49.74°, rel. 19; 2θ = 60.12°, rel. 17; 2θ = 68.89°, rel. 21; 2θ = 72.10°, rel. 29

```
HfAlPt
1.0
7.060 0.000 0.000
-3.530 6.114 0.000
0.000 0.000 7.333
Hf Al Pt
6 6 6
Direct
0.021 0.606 0.250 Hf
0.394 0.416 0.250 Hf
0.416 0.394 0.750 Hf
0.584 0.979 0.250 Hf
0.606 0.021 0.750 Hf
0.979 0.584 0.750 Hf
0.000 0.257 0.000 Al
0.000 0.257 0.500 Al
0.257 0.000 0.000 Al
0.257 0.000 0.500 Al
0.743 0.743 0.000 Al
0.743 0.743 0.500 Al
0.000 0.000 0.250 Pt
0.000 0.000 0.750 Pt
0.333 0.667 0.529 Pt
0.333 0.667 0.971 Pt
0.667 0.333 0.029 Pt
0.667 0.333 0.471 Pt
```

Theoretical X-ray diffraction stick pattern
Compound: Zn6Cd2Ag3
Radiation: Cu Kα X-rays
Structure: a crystal structure in Alexandria, relaxed with GGA-PBE
No peak broadening, texture or thermal motion is included.

Peak list (12 most intense, 2θ from 10° to 80°, by angle)
2θ = 23.89°, rel. 12; 2θ = 32.03°, rel. 54; 2θ = 35.00°, rel. 39; 2θ = 36.87°, rel. 38; 2θ = 42.81°, rel. 100; 2θ = 51.05°, rel. 13; 2θ = 53.80°, rel. 8; 2θ = 57.73°, rel. 20; 2θ = 66.42°, rel. 8; 2θ = 68.75°, rel. 10; 2θ = 73.36°, rel. 8; 2θ = 78.41°, rel. 13

```
Zn6Cd2Ag3
1.0
7.448 0.000 0.000
-3.724 6.450 0.000
0.000 0.000 4.227
Zn Cd Ag
6 2 3
Direct
0.000 0.223 0.000 Zn
0.000 0.789 0.500 Zn
0.211 0.211 0.500 Zn
0.223 0.000 0.000 Zn
0.777 0.777 0.000 Zn
0.789 0.000 0.500 Zn
0.333 0.667 0.500 Cd
0.667 0.333 0.500 Cd
0.000 0.571 0.000 Ag
0.429 0.429 0.000 Ag
0.571 0.000 0.000 Ag
```

Theoretical X-ray diffraction stick pattern
Compound: KPa4Ru3O12
Radiation: Cu Kα X-rays
Structure: a crystal structure in Alexandria, relaxed with GGA-PBE
No peak broadening, texture or thermal motion is included.

Peak list (12 most intense, 2θ from 10° to 80°, by angle)
2θ = 15.21°, rel. 1; 2θ = 21.57°, rel. 26; 2θ = 26.50°, rel. 2; 2θ = 30.69°, rel. 100; 2θ = 37.82°, rel. 6; 2θ = 43.95°, rel. 22; 2θ = 49.47°, rel. 14; 2θ = 54.56°, rel. 47; 2θ = 63.91°, rel. 13; 2θ = 68.30°, rel. 5; 2θ = 72.56°, rel. 19; 2θ = 76.72°, rel. 4

```
KPa4Ru3O12
1.0
-4.120 4.120 4.120
4.120 -4.120 4.120
4.120 4.120 -4.120
K Pa Ru O
1 4 3 12
Direct
0.000 0.000 0.000 K
0.000 0.000 0.500 Pa
0.000 0.500 0.000 Pa
0.500 0.000 0.000 Pa
0.500 0.500 0.500 Pa
0.000 0.500 0.500 Ru
0.500 0.000 0.500 Ru
0.500 0.500 0.000 Ru
0.145 0.838 0.306 O
0.162 0.306 0.468 O
0.162 0.694 0.855 O
0.306 0.145 0.838 O
0.306 0.468 0.162 O
0.468 0.162 0.306 O
0.532 0.838 0.694 O
0.694 0.532 0.838 O
0.694 0.855 0.162 O
0.838 0.306 0.145 O
0.838 0.694 0.532 O
0.855 0.162 0.694 O
```

Theoretical X-ray diffraction stick pattern
Compound: CaTbPm2Bi4
Radiation: Cu Kα X-rays
Structure: a crystal structure in Alexandria, relaxed with GGA-PBE
No peak broadening, texture or thermal motion is included.

Peak list (12 most intense, 2θ from 10° to 80°, by angle)
2θ = 23.91°, rel. 9; 2θ = 27.62°, rel. 100; 2θ = 39.34°, rel. 40; 2θ = 39.54°, rel. 26; 2θ = 39.66°, rel. 13; 2θ = 48.53°, rel. 7; 2θ = 48.82°, rel. 7; 2θ = 49.00°, rel. 14; 2θ = 57.03°, rel. 14; 2θ = 64.39°, rel. 13; 2θ = 64.63°, rel. 12; 2θ = 71.15°, rel. 7

```
CaTbPm2Bi4
1.0
7.904 0.000 0.000
0.000 4.545 0.000
-2.621 0.000 7.503
Ca Tb Pm Bi
1 1 2 4
Direct
0.000 0.000 0.000 Ca
0.000 0.500 0.500 Tb
0.500 0.000 0.500 Pm
0.500 0.500 0.000 Pm
0.246 0.000 0.746 Bi
0.249 0.500 0.254 Bi
0.751 0.500 0.746 Bi
0.754 0.000 0.254 Bi
```